PuMn3H6: simulated powder X-ray diffraction pattern (λ = 1.5418 Å (Cu Kα)), based on DFT lattice parameters and positions (GGA-PBE).
No peak broadening, texture or thermal motion is included.

Main lines, by intensity (15 to 90 degrees two-theta):
two_theta, d [Å], intensity, (hkl)
37.2, 2.415, 100, 1 0 4
37.5, 2.396, 98, 1 1 0
22.7, 3.917, 69, 1 0 1
26.2, 3.402, 46, 0 1 2
53.9, 1.701, 35, 0 2 4
67.5, 1.387, 34, 2 1 4
44.2, 2.050, 23, 1 1 3
22.5, 3.959, 21, 0 0 3
66.9, 1.398, 17, 0 1 8
67.7, 1.383, 17, 3 0 0

Cell and atoms:
Cell lengths 4.7915, 4.7915, 11.8783 Å; angles 90.00, 90.00, 120.00 degrees
Space group R3 (No. 146, hexagonal axes)
Symmetry-distinct sites (fractional):
Pu: 0.0000 0.0000 0.0000 [3 per cell]
Mn: 0.0000 0.0000 0.2466 [3 per cell]
Mn: 0.0000 0.0000 0.5001 [3 per cell]
Mn: 0.0000 0.0000 0.7534 [3 per cell]
H: 0.0000 0.4096 0.4999 [9 per cell]
H: 0.1545 0.8205 0.3330 [9 per cell]